Structure and calculated X-ray powder pattern of Rb4Re6S13 (a GGA-PBE-relaxed structure; copper Kα).
Lines closer than 0.1° are merged.

Cell and atoms:
```
Rb4Re6S13
1.0
4.9810 -8.4548 0.0000
4.9810 8.4548 0.0000
-2.3731 0.0000 13.9549
Rb Re S
8 12 26
Direct
0.1285 0.4068 0.6180
0.1966 0.2568 0.3366
0.2568 0.1966 0.8366
0.4068 0.1285 0.1180
0.5932 0.8715 0.8820
0.7432 0.8034 0.1634
0.8034 0.7432 0.6634
0.8715 0.5932 0.3820
0.0722 0.6555 0.1082
0.0961 0.6547 0.9229
0.1841 0.4870 0.0214
0.3453 0.9039 0.5771
0.3445 0.9278 0.3918
0.4870 0.1841 0.5214
0.5130 0.8159 0.4786
0.6555 0.0722 0.6082
0.6547 0.0961 0.4229
0.8159 0.5130 0.9786
0.9039 0.3453 0.0771
0.9278 0.3445 0.8918
0.0115 0.2020 0.9931
0.1415 0.8585 0.2500
0.1439 0.7631 0.6772
0.1468 0.4883 0.1881
0.1937 0.4930 0.8520
0.2020 0.0115 0.4931
0.2277 0.6753 0.4521
0.2369 0.8561 0.8228
0.3247 0.7723 0.0479
0.4251 0.4608 0.0542
0.4608 0.4251 0.5542
0.4883 0.1468 0.6881
0.4930 0.1937 0.3520
0.5070 0.8063 0.6480
0.5117 0.8532 0.3119
0.5392 0.5749 0.4458
0.5749 0.5392 0.9458
0.6753 0.2277 0.9521
0.7631 0.1439 0.1772
0.7723 0.3247 0.5479
0.7980 0.9885 0.5069
0.8063 0.5070 0.1480
0.8532 0.5117 0.8119
0.8561 0.2369 0.3228
0.8585 0.1415 0.7500
0.9885 0.7980 0.0069
```

Peak list (6 most intense, 10° ≤ 2θ ≤ 90°, by angle)
two_theta  Rel. int.
10.46  79
11.38  100
12.69  35
12.96  64
16.47  13
46.79  25

Structure and calculated X-ray powder pattern of Rb3Ru (a GGA-PBE-relaxed structure; copper Kα).
Lines closer than 0.1° are merged.

Cell and atoms:
```
Rb3Ru
1.0
0.0000 4.5197 4.5197
4.5197 0.0000 4.5197
4.5197 4.5197 0.0000
Rb Ru
3 1
Direct
0.0000 0.0000 0.0000
0.2500 0.2500 0.2500
0.7500 0.7500 0.7500
0.5000 0.5000 0.5000
```

Peak list (6 most intense, 10° ≤ 2θ ≤ 90°, by angle)
two_theta  Rel. int.
27.92  100
39.89  19
49.39  40
57.69  12
65.28  17
79.32  20

Structure and calculated X-ray powder pattern of Rb2S3 (a GGA-PBE-relaxed structure; copper Kα).
Lines closer than 0.1° are merged.

Cell and atoms:
```
Rb2S3
1.0
3.7809 -5.3417 0.0000
3.7809 5.3417 0.0000
0.0000 0.0000 7.9599
Rb S
4 6
Direct
0.0799 0.9201 0.5000
0.3938 0.6062 0.7290
0.6062 0.3938 0.2290
0.9201 0.0799 0.0000
0.1179 0.4338 0.3426
0.3004 0.6996 0.1978
0.4338 0.1179 0.8426
0.5662 0.8821 0.3426
0.6996 0.3004 0.6978
0.8821 0.5662 0.8426
```

Peak list (6 most intense, 10° ≤ 2θ ≤ 90°, by angle)
two_theta  Rel. int.
23.53  29
26.65  100
29.92  62
31.08  65
43.33  24
45.55  25

Structure and calculated X-ray powder pattern of RbS (a GGA-PBE-relaxed structure; copper Kα).
Lines closer than 0.1° are merged.

Cell and atoms:
```
RbS
1.0
3.0395 0.0000 0.0000
0.0111 4.3706 0.0000
0.0125 0.0207 4.3841
Rb S
1 1
Direct
0.0000 0.0000 0.0000
0.4969 0.5009 0.5000
```

Peak list (6 most intense, 10° ≤ 2θ ≤ 90°, by angle)
two_theta  Rel. int.
20.29  53
28.77  62
28.91  61
35.95  100
36.04  33
55.89  35

Structure and calculated X-ray powder pattern of RbS (a GGA-PBE-relaxed structure; copper Kα).
Lines closer than 0.1° are merged.

Cell and atoms:
```
RbS
1.0
3.9770 0.0000 0.0000
0.0000 3.9770 0.0000
0.0000 0.0000 4.1107
Rb S
1 1
Direct
0.0000 0.0000 0.0000
0.5000 0.5000 0.5000
```

Peak list (6 most intense, 10° ≤ 2θ ≤ 90°, by angle)
two_theta  Rel. int.
22.35  22
31.29  100
31.82  48
45.62  17
55.37  18
56.37  35

Structure and calculated X-ray powder pattern of RbS (a GGA-PBE-relaxed structure; copper Kα).
Lines closer than 0.1° are merged.

Cell and atoms:
```
RbS
1.0
8.9656 0.0000 0.0000
-4.4828 7.7644 0.0000
0.0000 0.0000 6.1974
Rb S
6 6
Direct
0.0000 0.3043 0.0000
0.0000 0.6403 0.5000
0.3043 0.0000 0.0000
0.3597 0.3597 0.5000
0.6403 0.0000 0.5000
0.6957 0.6957 0.0000
0.0000 0.0000 0.3283
0.0000 0.0000 0.6717
0.3333 0.6667 0.1729
0.3333 0.6667 0.8271
0.6667 0.3333 0.1729
0.6667 0.3333 0.8271
```

Peak list (6 most intense, 10° ≤ 2θ ≤ 90°, by angle)
two_theta  Rel. int.
24.51  100
34.66  47
35.21  26
42.91  18
48.52  15
56.29  13